# Na2Zn2O3
Calculated PXRD pattern, copper Kα. Input: DFT lattice parameters and positions (PBE).
Neutral-atom scattering factors, no anomalous dispersion.

Largest 10 diffraction maxima, sorted by position, 5° ≤ 2θ ≤ 70°:
- 17.06°, 5.199 Å, I = 25.2
- 22.41°, 3.967 Å, I = 78.6
- 22.69°, 3.919 Å, I = 47.9
- 32.90°, 2.723 Å, I = 24.9
- 34.80°, 2.578 Å, I = 100.0
- 35.01°, 2.563 Å, I = 48.4
- 37.05°, 2.427 Å, I = 44.2
- 37.75°, 2.383 Å, I = 60.8
- 48.23°, 1.887 Å, I = 27.3
- 62.66°, 1.483 Å, I = 28.6

Structural model:
a = 5.907 Å, b = 5.966 Å, c = 6.036 Å
α = 90.00°, β = 118.34°, γ = 90.00°
Element x y z (fractional)
Na: 0.136 0.155 0.404
Na: 0.136 0.345 0.904
Na: 0.864 0.655 0.096
Na: 0.864 0.845 0.596
Zn: 0.341 0.622 0.580
Zn: 0.341 0.878 0.080
Zn: 0.659 0.122 0.920
Zn: 0.659 0.378 0.420
O: 0.000 0.000 0.000
O: 0.000 0.500 0.500
O: 0.358 0.590 0.246
O: 0.358 0.910 0.746
O: 0.642 0.090 0.254
O: 0.642 0.410 0.754


# Cu6PbSe2Cl5O8
Calculated PXRD pattern, copper Kα. Input: DFT lattice parameters and positions (PBE).
Neutral-atom scattering factors, no anomalous dispersion.

Largest 10 diffraction maxima, sorted by position, 5° ≤ 2θ ≤ 70°:
- 9.55°, 9.259 Å, I = 35.1
- 17.49°, 5.071 Å, I = 66.4
- 22.67°, 3.923 Å, I = 58.3
- 24.75°, 3.598 Å, I = 100.0
- 28.48°, 3.134 Å, I = 87.4
- 28.76°, 3.104 Å, I = 35.2
- 33.04°, 2.711 Å, I = 32.5
- 33.90°, 2.644 Å, I = 35.3
- 35.41°, 2.535 Å, I = 51.0
- 38.51°, 2.338 Å, I = 36.8

Structural model:
a = 9.861 Å, b = 9.861 Å, c = 15.491 Å
α = 117.10°, β = 117.10°, γ = 37.07°
Element x y z (fractional)
Cu: 0.000 0.000 0.000
Cu: 0.069 0.069 0.465
Cu: 0.232 0.739 0.743
Cu: 0.261 0.768 0.257
Cu: 0.348 0.348 0.166
Cu: 0.440 0.440 0.047
Cu: 0.500 0.500 0.500
Cu: 0.560 0.560 0.953
Cu: 0.652 0.652 0.834
Cu: 0.739 0.232 0.743
Cu: 0.768 0.261 0.257
Cu: 0.931 0.931 0.535
Pb: 0.206 0.206 0.361
Pb: 0.794 0.794 0.639
Se: 0.127 0.127 0.709
Se: 0.358 0.358 0.800
Se: 0.642 0.642 0.200
Se: 0.873 0.873 0.291
Cl: 0.063 0.063 0.920
Cl: 0.210 0.210 0.559
Cl: 0.238 0.238 0.188
Cl: 0.305 0.305 0.995
Cl: 0.414 0.414 0.551
Cl: 0.586 0.586 0.449
Cl: 0.695 0.695 0.005
Cl: 0.762 0.762 0.812
Cl: 0.790 0.790 0.441
Cl: 0.937 0.937 0.080
O: 0.052 0.052 0.583
O: 0.067 0.067 0.340
O: 0.125 0.689 0.252
O: 0.168 0.597 0.750
O: 0.311 0.875 0.748
O: 0.403 0.832 0.250
O: 0.442 0.442 0.920
O: 0.460 0.460 0.181
O: 0.540 0.540 0.819
O: 0.558 0.558 0.080
O: 0.597 0.168 0.750
O: 0.689 0.125 0.252
O: 0.832 0.403 0.250
O: 0.875 0.311 0.748
O: 0.933 0.933 0.660
O: 0.948 0.948 0.417


# NdAl8Cu4
Calculated PXRD pattern, copper Kα. Input: DFT lattice parameters and positions (PBE).
Neutral-atom scattering factors, no anomalous dispersion.

Largest 10 diffraction maxima, sorted by position, 5° ≤ 2θ ≤ 70°:
- 14.07°, 6.294 Å, I = 23.7
- 19.78°, 4.489 Å, I = 23.8
- 28.23°, 3.161 Å, I = 36.2
- 28.36°, 3.147 Å, I = 39.3
- 34.81°, 2.577 Å, I = 28.3
- 40.17°, 2.245 Å, I = 80.5
- 40.49°, 2.228 Å, I = 100.0
- 45.24°, 2.004 Å, I = 18.8
- 58.39°, 1.580 Å, I = 29.5
- 66.41°, 1.408 Å, I = 16.1

Structural model:
a = 6.810 Å, b = 6.810 Å, c = 6.810 Å
α = 98.38°, β = 98.38°, γ = 135.12°
Element x y z (fractional)
Nd: 0.000 0.000 0.000
Al: 0.000 0.349 0.349
Al: 0.000 0.651 0.651
Al: 0.279 0.500 0.779
Al: 0.349 0.000 0.349
Al: 0.500 0.279 0.779
Al: 0.500 0.721 0.221
Al: 0.651 0.000 0.651
Al: 0.721 0.500 0.221
Cu: 0.000 0.000 0.500
Cu: 0.000 0.500 0.000
Cu: 0.500 0.000 0.000
Cu: 0.500 0.500 0.500


# UAlAu2
Calculated PXRD pattern, copper Kα. Input: DFT lattice parameters and positions (PBE).
Neutral-atom scattering factors, no anomalous dispersion.

Largest 10 diffraction maxima, sorted by position, 5° ≤ 2θ ≤ 70°:
- 24.77°, 3.594 Å, I = 25.6
- 29.45°, 3.033 Å, I = 28.9
- 32.11°, 2.788 Å, I = 33.6
- 33.48°, 2.676 Å, I = 100.0
- 35.77°, 2.510 Å, I = 34.2
- 35.95°, 2.498 Å, I = 36.9
- 37.20°, 2.417 Å, I = 45.2
- 42.25°, 2.139 Å, I = 21.0
- 42.66°, 2.119 Å, I = 19.3
- 46.08°, 1.970 Å, I = 25.9

Structural model:
a = 8.406 Å, b = 6.933 Å, c = 5.651 Å
α = 90.00°, β = 90.00°, γ = 90.00°
Element x y z (fractional)
U: 0.053 0.250 0.151
U: 0.447 0.750 0.651
U: 0.553 0.250 0.349
U: 0.947 0.750 0.849
Al: 0.105 0.750 0.342
Al: 0.395 0.250 0.842
Al: 0.605 0.750 0.158
Al: 0.895 0.250 0.658
Au: 0.179 0.044 0.616
Au: 0.179 0.456 0.616
Au: 0.321 0.544 0.116
Au: 0.321 0.956 0.116
Au: 0.679 0.044 0.884
Au: 0.679 0.456 0.884
Au: 0.821 0.544 0.384
Au: 0.821 0.956 0.384